No. 1
The following is a simulated powder diffractogram of Mg4CdSe5. It was derived from a PBE-relaxed structure, using Cu Kα (λ = 1.5418 Å).

Structure:
```
Mg4CdSe5
1.0
4.285 0.000 0.000
-2.143 3.711 0.000
0.000 0.000 34.621
Mg Cd Se
8 2 10
Direct
0.000 0.000 0.000
0.000 0.000 0.197
0.000 0.000 0.394
0.000 0.000 0.592
0.000 0.000 0.796
0.667 0.333 0.098
0.667 0.333 0.296
0.667 0.333 0.493
0.667 0.333 0.692
0.667 0.333 0.897
0.000 0.000 0.122
0.000 0.000 0.319
0.000 0.000 0.516
0.000 0.000 0.721
0.000 0.000 0.925
0.667 0.333 0.023
0.667 0.333 0.220
0.667 0.333 0.418
0.667 0.333 0.615
0.667 0.333 0.819
```

Peak list (6 most intense, 2θ = 10–80°, low angle first)
- 23.98 deg, rel. 100
- 25.73 deg, rel. 56
- 27.26 deg, rel. 90
- 42.18 deg, rel. 84
- 46.32 deg, rel. 75
- 50.06 deg, rel. 52

No. 2
The following is a simulated powder diffractogram of Mg2CdSe3. It was derived from a PBE-relaxed structure, using Cu Kα (λ = 1.5418 Å).

Structure:
```
Mg2CdSe3
1.0
3.710 -6.430 0.000
3.710 6.430 0.000
-2.487 0.000 7.001
Mg Cd Se
4 2 6
Direct
0.083 0.917 0.500
0.247 0.749 0.000
0.749 0.247 0.500
0.917 0.083 0.000
0.413 0.583 0.499
0.583 0.413 0.999
0.031 0.197 0.371
0.197 0.031 0.871
0.371 0.882 0.371
0.542 0.717 0.882
0.717 0.542 0.382
0.882 0.371 0.871
```

Peak list (6 most intense, 2θ = 10–80°, low angle first)
- 25.45 deg, rel. 100
- 42.17 deg, rel. 73
- 49.87 deg, rel. 19
- 49.92 deg, rel. 26
- 67.33 deg, rel. 17
- 77.06 deg, rel. 17